Entry 1:
Computed powder X-ray diffraction pattern of NaNbO3 for Cu Kα X-rays, from DFT lattice parameters and positions (GGA-PBE).

Atomic structure:
```
data_NaNbO3
_chemical_formula_sum 'Na6 Nb6 O18'
_cell_length_a 5.3552
_cell_length_b 5.3552
_cell_length_c 15.4065
_cell_angle_alpha 90.00
_cell_angle_beta 90.00
_cell_angle_gamma 120.00
_symmetry_space_group_name_H-M 'R -3'
_symmetry_Int_Tables_number 148
_symmetry_space_group_name_Hall '-R 3'
loop_
_atom_site_label
_atom_site_type_symbol
_atom_site_fract_x
_atom_site_fract_y
_atom_site_fract_z
Na1 Na 0.0000 0.0000 0.1416
Nb1 Nb 0.0000 0.0000 0.3527
O1 O 0.0130 0.6187 0.9260
```

Top 10 peaks for 2θ = 5–70°, low angle first:
2theta	I_rel	(hkl)
17.27	814	0 0 3
19.99	712	1 0 1
22.38	341	0 1 2
30.16	1000	1 0 4
33.47	736	1 1 0
37.89	590	2 -1 3
45.66	514	0 2 4
49.16	563	2 -1 6
57.78	469	3 -1 4
59.83	297	3 0 0

Entry 2:
Computed powder X-ray diffraction pattern of CsPdS for Cu Kα X-rays, from DFT lattice parameters and positions (GGA-PBE).

Atomic structure:
```
data_CsPdS
_chemical_formula_sum 'Cs6 Pd6 S6'
_cell_length_a 4.278
_cell_length_b 16.798
_cell_length_c 9.600
_cell_angle_alpha 90.00
_cell_angle_beta 90.00
_cell_angle_gamma 90.00
_symmetry_space_group_name_H-M 'A m m 2'
_symmetry_Int_Tables_number 38
loop_
_symmetry_equiv_pos_as_xyz
'x,y,z'
'-x,-y,z'
'-x,y,z'
'x,-y,z'
'x,y+1/2,z+1/2'
'-x,-y+1/2,z+1/2'
'-x,y+1/2,z+1/2'
'x,-y+1/2,z+1/2'
loop_
_atom_site_label
_atom_site_type_symbol
_atom_site_fract_x
_atom_site_fract_y
_atom_site_fract_z
Cs1 Cs 0.000 0.000 0.000
Cs2 Cs 0.000 0.195 0.408
Pd1 Pd 0.500 0.000 0.444
Pd2 Pd 0.500 0.083 0.693
S1 S 0.000 0.000 0.357
S2 S 0.000 0.126 0.733
```

Top 10 peaks for 2θ = 5–70°, low angle first:
2theta	I_rel	(hkl)
10.59	939	0 2 0
23.36	617	1 1 1
27.87	1000	1 3 1
28.19	762	0 5 1
28.39	382	0 1 3
37.18	272	0 6 2
38.65	282	1 3 3
44.30	214	1 7 1
44.47	231	1 5 3
51.57	269	2 5 1

Entry 3:
Computed powder X-ray diffraction pattern of CdAu15 for Cu Kα X-rays, from DFT lattice parameters and positions (GGA-PBE).

Atomic structure:
```
data_CdAu15
_chemical_formula_sum 'Cd2 Au30'
_cell_length_a 5.836
_cell_length_b 2.941
_cell_length_c 47.098
_cell_angle_alpha 90.00
_cell_angle_beta 90.01
_cell_angle_gamma 90.00
_symmetry_space_group_name_H-M 'P 1 21/m 1'
_symmetry_Int_Tables_number 11
loop_
_symmetry_equiv_pos_as_xyz
'x,y,z'
'-x,-y,-z'
'-x,y+1/2,-z'
'x,-y+1/2,z'
loop_
_atom_site_label
_atom_site_type_symbol
_atom_site_fract_x
_atom_site_fract_y
_atom_site_fract_z
Cd1 Cd 0.125 0.250 0.338
Au1 Au 0.123 0.250 0.709
Au2 Au 0.124 0.250 0.799
Au3 Au 0.125 0.250 0.067
Au4 Au 0.125 0.250 0.156
Au5 Au 0.125 0.250 0.246
Au6 Au 0.125 0.250 0.888
Au7 Au 0.125 0.250 0.978
Au8 Au 0.373 0.750 0.291
Au9 Au 0.374 0.750 0.201
Au10 Au 0.375 0.750 0.022
Au11 Au 0.375 0.750 0.112
Au12 Au 0.375 0.750 0.665
Au13 Au 0.375 0.750 0.754
Au14 Au 0.375 0.750 0.843
Au15 Au 0.375 0.750 0.933
```

Top 10 peaks for 2θ = 5–70°, low angle first:
2theta	I_rel	(hkl)
37.09	1000	0 1 11
37.29	985	2 0 11
38.24	293	0 1 12
42.21	307	0 0 22
43.71	855	2 1 0
44.23	153	0 0 23
62.38	384	2 1 22
63.24	144	0 2 0
63.81	141	4 0 0
63.93	218	2 1 23

Entry 4:
Computed powder X-ray diffraction pattern of PrGdTeO2 for Cu Kα X-rays, from DFT lattice parameters and positions (GGA-PBE).

Atomic structure:
```
data_PrGdTeO2
_chemical_formula_sum 'Pr2 Gd2 Te2 O4'
_cell_length_a 4.013
_cell_length_b 4.013
_cell_length_c 12.759
_cell_angle_alpha 90.00
_cell_angle_beta 90.00
_cell_angle_gamma 90.00
_symmetry_space_group_name_H-M 'I 4 m m'
_symmetry_Int_Tables_number 107
_symmetry_space_group_name_Hall 'I 4 -2'
loop_
_atom_site_label
_atom_site_type_symbol
_atom_site_fract_x
_atom_site_fract_y
_atom_site_fract_z
Pr1 Pr 0.000 0.000 0.000
Gd1 Gd 0.000 0.000 0.319
Te1 Te 0.000 0.000 0.659
O1 O 0.000 0.500 0.403
```

Top 10 peaks for 2θ = 5–70°, low angle first:
2theta	I_rel	(hkl)
23.23	15	1 0 1
30.63	1000	1 0 3
31.53	395	1 1 0
42.51	84	0 0 6
42.64	22	1 1 4
45.19	199	2 0 0
53.88	223	1 1 6
55.58	371	2 1 3
63.77	104	2 0 6
65.82	63	2 2 0